(1)
Theoretical powder diffractogram
Compound: AgSbF6
Radiation: Cu Kα (weighted mean of Kα1 and Kα2)
Structure: a crystal structure in Alexandria, relaxed with PBE
No peak broadening, texture or thermal motion is included.

Structural model:
```
data_AgSbF6
_cell_length_a 9.9687
_cell_length_b 9.9687
_cell_length_c 9.9687
_cell_angle_alpha 90.00
_cell_angle_beta 90.00
_cell_angle_gamma 90.00
_symmetry_space_group_name_H-M 'I a -3'
_symmetry_Int_Tables_number 206
_symmetry_space_group_name_Hall '-I 2b 2c 3'
loop_
_atom_site_label
_atom_site_fract_x
_atom_site_fract_y
_atom_site_fract_z
Ag1 0.0000 0.0000 0.0000
Sb1 0.2500 0.2500 0.2500
F1 0.1088 0.1340 0.3126
```

Largest 12 diffraction maxima, low angle first, 2θ from 15° to 90°:
d/Å, 2θ (°), I (rel.), h k l
4.984, 17.8, 26, 2 0 0
3.524, 25.3, 1000, 2 2 0
2.664, 33.6, 24, 3 2 1
2.492, 36.0, 94, 4 0 0
2.035, 44.5, 450, 4 2 2
1.762, 51.9, 179, 4 4 0
1.576, 58.6, 200, 6 0 2
1.439, 64.8, 46, 4 4 4
1.332, 70.7, 206, 6 2 4
1.246, 76.4, 25, 8 0 0
1.175, 82.0, 103, 8 2 2
1.115, 87.5, 65, 8 4 0

(2)
Theoretical powder diffractogram
Compound: ScAg4F6
Radiation: Cu Kα (weighted mean of Kα1 and Kα2)
Structure: a crystal structure in Alexandria, relaxed with PBE
No peak broadening, texture or thermal motion is included.

Structural model:
```
data_ScAg4F6
_cell_length_a 6.9479
_cell_length_b 6.9479
_cell_length_c 7.4900
_cell_angle_alpha 90.00
_cell_angle_beta 90.00
_cell_angle_gamma 90.00
_symmetry_space_group_name_H-M 'P 4/m n c'
_symmetry_Int_Tables_number 128
_symmetry_space_group_name_Hall '-P 4 2n'
loop_
_atom_site_label
_atom_site_fract_x
_atom_site_fract_y
_atom_site_fract_z
Sc1 0.0000 0.0000 0.0000
Ag1 0.1435 0.3565 0.2500
F1 0.0000 0.0000 0.2697
F2 0.1136 0.7265 0.0000
```

Largest 12 diffraction maxima, low angle first, 2θ from 15° to 90°:
d/Å, 2θ (°), I (rel.), h k l
5.094, 17.4, 106, 1 0 1
3.745, 23.8, 361, 0 0 2
3.107, 28.7, 600, 2 1 0
2.978, 30.0, 177, 1 1 2
2.391, 37.6, 1000, 2 1 2
2.197, 41.1, 315, 3 1 0
1.895, 48.0, 169, 3 1 2
1.873, 48.6, 137, 0 0 4
1.604, 57.5, 166, 2 1 4
1.576, 58.6, 141, 4 0 2
1.425, 65.5, 136, 3 1 4
1.220, 78.4, 120, 5 2 2

(3)
Theoretical powder diffractogram
Compound: AgSeF5
Radiation: Cu Kα (weighted mean of Kα1 and Kα2)
Structure: a crystal structure in Alexandria, relaxed with PBE
No peak broadening, texture or thermal motion is included.

Structural model:
```
data_AgSeF5
_cell_length_a 8.6024
_cell_length_b 6.9052
_cell_length_c 8.7035
_cell_angle_alpha 90.00
_cell_angle_beta 109.83
_cell_angle_gamma 90.00
_symmetry_space_group_name_H-M 'C 1 c 1'
_symmetry_Int_Tables_number 9
_symmetry_space_group_name_Hall 'C -2yc'
loop_
_atom_site_label
_atom_site_fract_x
_atom_site_fract_y
_atom_site_fract_z
Ag1 0.0000 0.0229 0.0000
Se1 0.4898 0.0528 0.7752
F1 0.0339 0.1689 0.2698
F2 0.2006 0.4944 0.4322
F3 0.2676 0.1063 0.6530
F4 0.4309 0.2010 0.3045
F5 0.4334 0.1161 0.9464
```

Largest 12 diffraction maxima, low angle first, 2θ from 15° to 90°:
d/Å, 2θ (°), I (rel.), h k l
4.046, 22.0, 728, 2 0 0
3.641, 24.4, 1000, 1 1 -2
3.453, 25.8, 336, 0 2 0
2.931, 30.5, 303, 1 1 2
2.626, 34.1, 190, 2 2 0
2.527, 35.5, 195, 3 1 -2
2.142, 42.2, 171, 2 0 -4
2.028, 44.7, 143, 1 3 -2
2.023, 44.8, 129, 4 0 0
1.892, 48.1, 196, 3 1 2
1.820, 50.1, 98, 2 2 -4
1.756, 52.1, 103, 3 3 -2

(4)
Theoretical powder diffractogram
Compound: Ag7SeF5
Radiation: Cu Kα (weighted mean of Kα1 and Kα2)
Structure: a crystal structure in Alexandria, relaxed with PBE
No peak broadening, texture or thermal motion is included.

Structural model:
```
data_Ag7SeF5
_cell_length_a 3.6291
_cell_length_b 11.1580
_cell_length_c 21.3283
_cell_angle_alpha 90.00
_cell_angle_beta 90.00
_cell_angle_gamma 90.00
_symmetry_space_group_name_H-M 'C m c 21'
_symmetry_Int_Tables_number 36
_symmetry_space_group_name_Hall 'C 2c -2'
loop_
_atom_site_label
_atom_site_fract_x
_atom_site_fract_y
_atom_site_fract_z
Ag1 0.0000 0.0094 0.0000
Ag2 0.0000 0.1148 0.2337
Ag3 0.0000 0.1776 0.7790
Ag4 0.0000 0.3096 0.4380
Ag5 0.0000 0.3262 0.5743
Ag6 0.0000 0.3906 0.1322
Ag7 0.0000 0.4313 0.8968
Se1 0.0000 0.3208 0.0127
F1 0.0000 0.0556 0.1172
F2 0.0000 0.0946 0.8764
F3 0.0000 0.1762 0.3451
F4 0.0000 0.2503 0.6791
F5 0.0000 0.4642 0.2358
```

Largest 12 diffraction maxima, low angle first, 2θ from 15° to 90°:
d/Å, 2θ (°), I (rel.), h k l
2.897, 30.9, 567, 1 1 4
2.766, 32.4, 137, 0 4 1
2.683, 33.4, 140, 1 1 5
2.674, 33.5, 445, 0 2 7
2.578, 34.8, 321, 1 3 1
2.524, 35.6, 1000, 1 3 2
2.440, 36.8, 215, 1 3 3
2.405, 37.4, 155, 0 2 8
2.057, 44.0, 162, 0 4 7
1.954, 46.5, 485, 1 1 9
1.815, 50.3, 299, 2 0 0
1.501, 61.8, 168, 2 2 7

(5)
Theoretical powder diffractogram
Compound: Ag5Se2F2
Radiation: Cu Kα (weighted mean of Kα1 and Kα2)
Structure: a crystal structure in Alexandria, relaxed with PBE
No peak broadening, texture or thermal motion is included.

Structural model:
```
data_Ag5Se2F2
_cell_length_a 5.4156
_cell_length_b 5.6120
_cell_length_c 7.4658
_cell_angle_alpha 69.87
_cell_angle_beta 68.84
_cell_angle_gamma 61.17
_symmetry_space_group_name_H-M 'P -1'
_symmetry_Int_Tables_number 2
_symmetry_space_group_name_Hall '-P 1'
loop_
_atom_site_label
_atom_site_fract_x
_atom_site_fract_y
_atom_site_fract_z
Ag1 0.0000 0.0000 0.0000
Ag2 0.1167 0.1919 0.5754
Ag3 0.3490 0.5241 0.7755
Se1 0.1687 0.4868 0.1780
F1 0.3725 0.8136 0.4415
```

Largest 12 diffraction maxima, low angle first, 2θ from 15° to 90°:
d/Å, 2θ (°), I (rel.), h k l
4.809, 18.5, 222, 0 1 0
4.607, 19.3, 521, 1 1 1
3.100, 28.8, 173, 0 1 2
2.803, 31.9, 369, 1 2 1
2.708, 33.1, 1000, 2 1 1
2.541, 35.3, 697, 0 1 -2
2.471, 36.4, 472, 1 1 3
2.432, 37.0, 395, 0 2 1
2.241, 40.2, 386, 0 1 3
2.190, 41.2, 287, 0 2 2
1.853, 49.2, 521, 2 0 3
1.809, 50.4, 336, 2 -1 0

(6)
Theoretical powder diffractogram
Compound: SiAg3F8
Radiation: Cu Kα (weighted mean of Kα1 and Kα2)
Structure: a crystal structure in Alexandria, relaxed with PBE
No peak broadening, texture or thermal motion is included.

Structural model:
```
data_SiAg3F8
_cell_length_a 5.6361
_cell_length_b 10.8229
_cell_length_c 6.8190
_cell_angle_alpha 90.00
_cell_angle_beta 90.00
_cell_angle_gamma 90.00
_symmetry_space_group_name_H-M 'C 2 2 2'
_symmetry_Int_Tables_number 21
_symmetry_space_group_name_Hall 'C 2 2'
loop_
_atom_site_label
_atom_site_fract_x
_atom_site_fract_y
_atom_site_fract_z
Si1 0.0000 0.0000 0.0000
Ag1 0.0000 0.0000 0.5000
Ag2 0.2500 0.2500 0.2527
F1 0.0000 0.1630 0.0000
F2 0.0000 0.2014 0.5000
F3 0.2140 0.0036 0.1770
```

Largest 12 diffraction maxima, low angle first, 2θ from 15° to 90°:
d/Å, 2θ (°), I (rel.), h k l
4.999, 17.7, 583, 1 1 0
4.032, 22.0, 1000, 1 1 1
2.885, 31.0, 268, 0 2 2
2.817, 31.8, 201, 1 1 2
2.775, 32.3, 380, 1 3 1
2.706, 33.1, 304, 0 4 0
2.499, 35.9, 152, 2 2 0
2.172, 41.6, 391, 2 0 2
2.069, 43.7, 170, 1 1 3
1.937, 46.9, 148, 1 5 1
1.694, 54.1, 232, 2 4 2
1.409, 66.4, 133, 4 0 0

(7)
Theoretical powder diffractogram
Compound: TlSiAgF6
Radiation: Cu Kα (weighted mean of Kα1 and Kα2)
Structure: a crystal structure in Alexandria, relaxed with PBE
No peak broadening, texture or thermal motion is included.

Structural model:
```
data_TlSiAgF6
_cell_length_a 5.3371
_cell_length_b 5.8654
_cell_length_c 5.9117
_cell_angle_alpha 60.28
_cell_angle_beta 89.84
_cell_angle_gamma 89.68
_symmetry_space_group_name_H-M 'P 1'
_symmetry_Int_Tables_number 1
_symmetry_space_group_name_Hall 'P 1'
loop_
_atom_site_label
_atom_site_fract_x
_atom_site_fract_y
_atom_site_fract_z
Tl1 0.0000 0.0000 0.0000
Si1 0.5018 0.6669 0.6664
Ag1 0.4988 0.3349 0.3298
F1 0.3151 0.4303 0.9049
F2 0.3161 0.6655 0.4289
F3 0.3167 0.9097 0.6643
F4 0.6867 0.4273 0.6622
F5 0.6874 0.6620 0.9070
F6 0.6883 0.9068 0.4312
```

Largest 12 diffraction maxima, low angle first, 2θ from 15° to 90°:
d/Å, 2θ (°), I (rel.), h k l
5.093, 17.4, 140, 0 1 0
3.697, 24.1, 1000, 1 1 1
3.676, 24.2, 497, 1 -1 0
2.956, 30.2, 325, 0 1 2
2.933, 30.5, 160, 0 2 1
2.368, 38.0, 117, 2 0 1
2.313, 38.9, 137, 1 0 2
2.303, 39.1, 130, 1 2 0
2.294, 39.3, 129, -1 2 2
1.984, 45.7, 188, 2 1 -1
1.978, 45.9, 161, 2 -1 1
1.822, 50.1, 135, 1 1 -2